For FeMo2H7O11, DFT lattice parameters and positions (GGA+U) gives the computed XRD peak list in this record (Cu Kα X-rays).
Lines closer than 0.1° are merged.

Structure:
```
42
Lattice="5.867 0.000 0.000 2.403 7.499 0.000 1.413 3.095 11.610" Properties=species:S:1:pos:R:3 pbc="T T T"
Fe 0.000 0.000 0.000
Fe 6.040 9.046 5.807
Mo 3.195 6.950 6.326
Mo 4.275 5.104 11.298
Mo 5.422 5.403 0.523
Mo 6.501 3.556 5.493
H 1.125 1.498 1.825
H 4.098 8.388 10.195
H 3.316 5.265 3.757
H 2.929 3.640 3.808
H 3.247 3.479 7.677
H 4.953 7.465 4.049
H 4.019 4.173 2.631
H 4.762 3.045 7.631
H 6.324 6.841 4.390
H 6.959 6.810 9.563
H 6.571 5.186 9.612
H 5.475 1.930 1.875
H 8.593 9.011 9.854
H 7.660 5.718 8.435
O 3.671 9.271 9.990
O 3.035 5.557 7.432
O 2.784 4.253 10.681
O 2.234 2.724 4.979
O 3.454 6.450 4.628
O 3.188 4.401 3.184
O 4.314 6.754 10.690
O 4.629 7.965 6.749
O 3.923 6.405 0.676
O 2.723 2.035 1.439
O 3.828 2.693 7.572
O 5.898 7.724 4.185
O 5.257 4.017 1.637
O 5.011 2.705 4.877
O 5.874 4.271 10.784
O 7.096 7.991 10.437
O 6.831 5.947 8.987
O 6.537 5.207 4.885
O 6.857 6.419 0.943
O 7.562 7.952 6.482
O 6.363 3.582 7.244
O 6.057 1.146 1.764
```

Peak list (10 most intense, 2θ = 15–90°, most intense first)
| 2θ (°) | d [Å] | Rel. int. |
| --- | --- | --- |
| 15.26 | 5.805 | 100 |
| 24.82 | 3.587 | 43 |
| 23.13 | 3.846 | 28 |
| 24.23 | 3.673 | 25 |
| 28.33 | 3.151 | 25 |
| 30.85 | 2.898 | 24 |
| 45.29 | 2.002 | 16 |
| 29.19 | 3.059 | 15 |
| 32.58 | 2.749 | 14 |
| 16.93 | 5.236 | 14 |

=====

For FeMoHSeO7, DFT lattice parameters and positions (GGA+U) gives the computed XRD peak list in this record (Cu Kα X-rays).
Lines closer than 0.1° are merged.

Structure:
```
44
Lattice="10.081 -2.785 0.000 10.081 2.785 0.000 -9.192 0.000 10.253" Properties=species:S:1:pos:R:3 pbc="T T T"
Fe 1.237 0.839 3.872
Fe -3.360 -0.839 8.999
Fe 14.330 0.839 1.254
Fe 9.734 -0.839 6.381
Mo 7.149 1.973 0.928
Mo 8.418 1.973 4.198
Mo 2.553 -1.973 6.055
Mo 3.821 -1.973 9.325
H 2.402 1.305 7.877
H 3.973 1.305 7.503
H 6.998 -1.305 2.751
H 8.569 -1.305 2.376
Se 4.595 0.821 3.321
Se 10.971 0.821 1.806
Se -0.001 -0.821 8.447
Se 6.375 -0.821 6.933
O 8.632 2.400 0.152
O -4.312 0.713 8.040
O -0.573 0.607 4.869
O 2.937 0.961 2.923
O 6.934 2.400 4.975
O 3.187 1.884 7.690
O 6.624 0.538 0.031
O 0.522 0.622 7.650
O 0.284 -0.713 2.914
O -5.170 -0.607 9.996
O 7.783 1.105 2.563
O 2.028 -0.538 5.157
O -1.659 -0.961 8.050
O 5.119 -0.622 2.524
O 5.852 0.622 7.730
O 12.629 0.961 2.204
O 8.943 0.538 5.096
O 3.187 -1.105 7.690
O 16.140 0.607 0.258
O 10.686 0.713 7.340
O 10.448 -0.622 2.603
O 4.347 -0.538 10.222
O 7.783 -1.884 2.563
O 4.036 -2.400 5.278
O 8.033 -0.961 7.330
O 11.544 -0.607 5.384
O 15.282 -0.713 2.213
O 2.338 -2.400 10.102
```

Peak list (10 most intense, 2θ = 15–90°, most intense first)
| 2θ (°) | d [Å] | Rel. int. |
| --- | --- | --- |
| 27.05 | 3.296 | 100 |
| 28.76 | 3.104 | 84 |
| 29.31 | 3.047 | 63 |
| 27.68 | 3.223 | 58 |
| 20.80 | 4.270 | 56 |
| 33.38 | 2.684 | 50 |
| 23.71 | 3.753 | 38 |
| 17.17 | 5.164 | 38 |
| 28.03 | 3.184 | 37 |
| 21.43 | 4.146 | 36 |

=====

For FePH6N2O4, DFT lattice parameters and positions (GGA+U) gives the computed XRD peak list in this record (Cu Kα X-rays).
Lines closer than 0.1° are merged.

Structure:
```
56
Lattice="6.474 0.000 0.000 0.000 10.191 0.000 -6.102 0.000 7.658" Properties=species:S:1:pos:R:3 pbc="T T T"
Fe -1.433 1.611 3.153
Fe -4.483 3.485 6.982
Fe 4.856 6.706 0.675
Fe 1.805 8.580 4.504
P -4.506 6.755 7.335
P -1.455 8.531 3.506
P 1.827 1.660 4.152
P 4.878 3.436 0.323
H -4.600 0.790 6.964
H -1.549 4.305 3.135
H 0.615 1.352 0.618
H -2.435 3.744 4.447
H -2.095 0.257 5.309
H 0.956 4.838 1.480
H -2.164 5.820 5.986
H 0.887 9.467 2.158
H 2.266 1.279 0.721
H -0.784 3.817 4.550
H -1.745 1.790 5.888
H 1.305 3.306 2.060
H -0.933 6.885 5.598
H 2.118 8.401 1.769
H 1.157 6.374 3.107
H -1.894 8.912 6.936
H -0.515 0.724 5.500
H 2.536 4.371 1.671
H -0.583 5.353 6.177
H 2.467 9.933 2.348
H 2.808 6.447 3.210
H -0.243 8.839 7.039
H 1.922 5.886 4.522
H 4.972 9.400 0.693
N 1.487 1.459 0.088
N -1.564 3.636 3.916
N -1.448 1.049 5.237
N 1.603 4.047 1.408
N -1.231 6.144 6.249
N 1.820 9.142 2.421
N 1.936 6.555 3.741
N -1.114 8.732 7.570
O -1.656 7.300 2.586
O -4.706 7.987 6.415
O -4.368 5.463 6.465
O -1.317 9.823 2.636
O 0.396 6.636 0.658
O -2.655 8.651 4.487
O 0.571 1.842 3.263
O -2.480 3.253 7.091
O 2.852 6.938 0.566
O -0.198 8.349 4.395
O 3.027 1.540 3.171
O -0.024 3.555 6.999
O 1.689 0.368 5.021
O 4.740 4.728 1.192
O 5.079 2.204 1.243
O 2.028 2.891 5.072
```

Peak list (10 most intense, 2θ = 15–90°, most intense first)
| 2θ (°) | d [Å] | Rel. int. |
| --- | --- | --- |
| 27.59 | 3.233 | 100 |
| 28.75 | 3.105 | 73 |
| 17.40 | 5.095 | 53 |
| 17.52 | 5.063 | 37 |
| 23.23 | 3.829 | 34 |
| 37.22 | 2.416 | 34 |
| 18.38 | 4.826 | 29 |
| 39.49 | 2.282 | 23 |
| 56.94 | 1.617 | 20 |
| 35.23 | 2.548 | 19 |